# 1
This entry pairs a crystal structure of Sc2Fe3Si with its theoretical X-ray powder pattern. Radiation: Cu Kα (λ = 1.5418 Å). Structure: a crystal structure in the Materials Project, relaxed with GGA-PBE.
Intensities are scaled so that the largest is 100.

Largest 10 diffraction maxima, in order of rising 2θ, 10° ≤ 2θ ≤ 90°:
hkl  d (Å)  I_rel
0 0 2  3.960  21
1 0 3  2.253  61
2 0 0  2.161  18
1 1 2  2.111  70
2 0 1  2.084  100
0 0 4  1.980  18
2 0 2  1.897  16
2 1 3  1.389  19
2 0 5  1.277  26
2 2 0  1.247  21

Structure:
```
data_Sc2Fe3Si
_chemical_formula_sum 'Sc4 Fe6 Si2'
_space_group_name_H-M_alt 'P 63/m m c'
_space_group_IT_number 194
_space_group_name_Hall '-P 6c 2c'
_cell_length_a 4.9895
_cell_length_b 4.9895
_cell_length_c 7.9203
_cell_angle_alpha 90.00
_cell_angle_beta 90.00
_cell_angle_gamma 120.00
loop_
_atom_site_label
_atom_site_type_symbol
_atom_site_fract_x
_atom_site_fract_y
_atom_site_fract_z
_atom_site_occupancy
Sc1 Sc 0.3333 0.6667 0.0625 1
Fe1 Fe 0.1711 0.3421 0.7500 1
Si1 Si 0.0000 0.0000 0.0000 1
```

# 2
This entry pairs a crystal structure of MgSi with its theoretical X-ray powder pattern. Radiation: Cu Kα (λ = 1.5418 Å). Structure: a crystal structure in the Materials Project, relaxed with GGA-PBE.
Intensities are scaled so that the largest is 100.

Largest 10 diffraction maxima, in order of rising 2θ, 10° ≤ 2θ ≤ 90°:
hkl  d (Å)  I_rel
0 1 3  2.709  100
1 0 4  2.497  13
2 0 -2  2.488  36
2 0 1  2.454  21
1 0 -5  2.336  20
1 1 3  2.316  17
2 1 -2  2.051  48
2 1 1  2.030  32
0 2 0  1.807  24
2 2 -2  1.463  19

Structure:
```
data_MgSi
_chemical_formula_sum 'Mg6 Si6'
_space_group_name_H-M_alt 'P 1 21/m 1'
_space_group_IT_number 11
_cell_length_a 5.187
_cell_length_b 3.614
_cell_length_c 12.376
_cell_angle_alpha 90.00
_cell_angle_beta 97.43
_cell_angle_gamma 90.00
loop_
_space_group_symop_operation_xyz
'x,y,z'
'-x,-y,-z'
'-x,y+1/2,-z'
'x,-y+1/2,z'
loop_
_atom_site_label
_atom_site_type_symbol
_atom_site_fract_x
_atom_site_fract_y
_atom_site_fract_z
_atom_site_occupancy
Mg1 Mg 0.033 0.250 0.279 1
Mg2 Mg 0.255 0.250 0.945 1
Mg3 Mg 0.427 0.250 0.613 1
Si1 Si 0.106 0.750 0.462 1
Si2 Si 0.260 0.750 0.126 1
Si3 Si 0.483 0.750 0.793 1
```

# 3
This entry pairs a crystal structure of PrNiSn with its theoretical X-ray powder pattern. Radiation: Cu Kα (λ = 1.5418 Å). Structure: a crystal structure in the Materials Project, relaxed with GGA-PBE.
Intensities are scaled so that the largest is 100.

Largest 10 diffraction maxima, in order of rising 2θ, 10° ≤ 2θ ≤ 90°:
hkl  d (Å)  I_rel
1 1 1  2.753  100
2 0 1  2.533  75
2 1 0  2.444  55
3 0 0  2.156  21
2 1 1  2.096  15
0 0 2  2.037  24
3 1 1  1.642  22
2 1 2  1.565  29
3 0 2  1.481  12
3 2 1  1.394  25

Structure:
```
data_PrNiSn
_chemical_formula_sum 'Pr3 Ni3 Sn3'
_space_group_name_H-M_alt 'P -6 2 m'
_space_group_IT_number 189
_space_group_name_Hall 'P -6 -2'
_cell_length_a 7.4680
_cell_length_b 7.4680
_cell_length_c 4.0744
_cell_angle_alpha 90.00
_cell_angle_beta 90.00
_cell_angle_gamma 120.00
loop_
_atom_site_label
_atom_site_type_symbol
_atom_site_fract_x
_atom_site_fract_y
_atom_site_fract_z
_atom_site_occupancy
Pr1 Pr 0.0000 0.5886 0.0000 1
Ni1 Ni 0.0000 0.0000 0.0000 1
Ni2 Ni 0.3333 0.6667 0.5000 1
Sn1 Sn 0.0000 0.2494 0.5000 1
```

# 4
This entry pairs a crystal structure of MgAg2 with its theoretical X-ray powder pattern. Radiation: Cu Kα (λ = 1.5418 Å). Structure: a crystal structure in the Materials Project, relaxed with GGA-PBE.
Intensities are scaled so that the largest is 100.

Largest 10 diffraction maxima, in order of rising 2θ, 10° ≤ 2θ ≤ 90°:
hkl  d (Å)  I_rel
1 0 0  4.853  60
0 0 2  4.421  33
1 0 1  4.254  39
1 0 3  2.519  27
1 1 2  2.367  74
2 0 1  2.340  100
0 0 4  2.210  30
2 0 2  2.127  54
2 0 3  1.873  33
2 2 0  1.401  24

Structure:
```
data_MgAg2
_chemical_formula_sum 'Mg4 Ag8'
_space_group_name_H-M_alt 'P 63/m m c'
_space_group_IT_number 194
_space_group_name_Hall '-P 6c 2c'
_cell_length_a 5.6038
_cell_length_b 5.6038
_cell_length_c 8.8411
_cell_angle_alpha 90.00
_cell_angle_beta 90.00
_cell_angle_gamma 120.00
loop_
_atom_site_label
_atom_site_type_symbol
_atom_site_fract_x
_atom_site_fract_y
_atom_site_fract_z
_atom_site_occupancy
Mg1 Mg 0.3333 0.6667 0.0611 1
Ag1 Ag 0.0000 0.0000 0.0000 1
Ag2 Ag 0.1713 0.3426 0.7500 1
```

Which formula does entry 2 have?
MgSi